(1)
Theoretical XRD peak list
Compound: Ce4Co2Sn5
Radiation: Cu Kα (λ = 1.5418 Å)
Structure: a GGA-PBE-relaxed structure
Intensities are scaled so that the largest is 100.

The 10 most intense peaks (2θ from 5° to 70°), sorted by position:
d_spacing, two_theta, I (rel.), hkl
3.421, 26.05, 21, 1 1 1
2.834, 31.57, 100, 3 1 0
2.787, 32.12, 87, 3 1 -3
2.689, 33.32, 49, 4 0 -4
2.665, 33.63, 59, 1 1 -3
2.359, 38.14, 33, 5 1 -2
2.344, 38.41, 42, 6 0 -3
2.262, 39.86, 23, 4 0 1
2.213, 40.77, 58, 0 2 0
1.609, 57.26, 18, 6 2 -3

Structural model:
```
data_Ce4Co2Sn5
_chemical_formula_sum 'Ce8 Co4 Sn10'
_symmetry_space_group_name_H-M 'C 1 2/m 1'
_symmetry_Int_Tables_number 12
_cell_length_a 14.0663
_cell_length_b 4.4260
_cell_length_c 10.9947
_cell_angle_alpha 90.00
_cell_angle_beta 128.10
_cell_angle_gamma 90.00
loop_
_symmetry_equiv_pos_as_xyz
'x,y,z'
'-x,-y,-z'
'-x,y,-z'
'x,-y,z'
'x+1/2,y+1/2,z'
'-x+1/2,-y+1/2,-z'
'-x+1/2,y+1/2,-z'
'x+1/2,-y+1/2,z'
loop_
_atom_site_label
_atom_site_type_symbol
_atom_site_fract_x
_atom_site_fract_y
_atom_site_fract_z
Ce1 Ce 0.0682 0.0000 0.2221
Ce2 Ce 0.1665 0.5000 0.7808
Co1 Co 0.2348 0.0000 0.6514
Sn1 Sn 0.0000 0.0000 0.5000
Sn2 Sn 0.1253 0.5000 0.0466
Sn3 Sn 0.1499 0.5000 0.4745
```


(2)
Theoretical XRD peak list
Compound: CeYCo4
Radiation: Cu Kα (λ = 1.5418 Å)
Structure: a GGA-PBE-relaxed structure
Intensities are scaled so that the largest is 100.

The 9 most intense peaks (2θ from 5° to 70°), sorted by position:
d_spacing, two_theta, I (rel.), hkl
4.099, 21.68, 6, 1 1 1
3.550, 25.08, 3, 2 0 0
2.510, 35.77, 51, 2 2 0
2.141, 42.21, 100, 3 1 1
2.050, 44.19, 22, 2 2 2
1.629, 56.50, 2, 3 3 1
1.588, 58.10, 1, 4 2 0
1.449, 64.27, 18, 4 2 2
1.366, 68.69, 30, 5 1 1

Structural model:
```
data_CeYCo4
_chemical_formula_sum 'Ce4 Y4 Co16'
_symmetry_space_group_name_H-M 'F -4 3 m'
_symmetry_Int_Tables_number 216
_symmetry_space_group_name_Hall 'F -4 2 3'
_cell_length_a 7.1001
_cell_length_b 7.1001
_cell_length_c 7.1001
_cell_angle_alpha 90.00
_cell_angle_beta 90.00
_cell_angle_gamma 90.00
loop_
_atom_site_label
_atom_site_type_symbol
_atom_site_fract_x
_atom_site_fract_y
_atom_site_fract_z
Ce1 Ce 0.0000 0.0000 0.0000
Y1 Y 0.2500 0.2500 0.2500
Co1 Co 0.1249 0.1249 0.6249
```


(3)
Theoretical XRD peak list
Compound: Ce2ZrCo16
Radiation: Cu Kα (λ = 1.5418 Å)
Structure: a GGA-PBE-relaxed structure
Intensities are scaled so that the largest is 100.

The 10 most intense peaks (2θ from 5° to 70°), sorted by position:
d_spacing, two_theta, I (rel.), hkl
2.941, 30.39, 27, 1 1 2
2.418, 37.19, 46, 3 0 0
2.194, 41.15, 33, 0 2 3
2.094, 43.21, 60, 2 2 0
2.087, 43.36, 100, 3 0 2
2.066, 43.82, 30, 0 0 4
1.943, 46.75, 14, 1 2 3
1.868, 48.76, 26, 2 2 2
1.471, 63.23, 13, 2 2 4
1.424, 65.54, 9, 3 2 3

Structural model:
```
data_Ce2ZrCo16
_chemical_formula_sum 'Ce4 Zr2 Co32'
_symmetry_space_group_name_H-M 'P -3 m 1'
_symmetry_Int_Tables_number 164
_symmetry_space_group_name_Hall '-P 3 2"'
_cell_length_a 8.3758
_cell_length_b 8.3758
_cell_length_c 8.2631
_cell_angle_alpha 90.00
_cell_angle_beta 90.00
_cell_angle_gamma 120.00
loop_
_atom_site_label
_atom_site_type_symbol
_atom_site_fract_x
_atom_site_fract_y
_atom_site_fract_z
Ce1 Ce 0.0000 0.0000 0.2493
Ce2 Ce 0.3333 0.6667 0.2659
Zr1 Zr 0.3333 0.6667 0.8814
Co1 Co 0.0000 0.5000 0.0000
Co2 Co 0.0000 0.5000 0.5000
Co3 Co 0.0314 0.3586 0.7489
Co4 Co 0.1631 0.3261 0.0229
Co5 Co 0.1667 0.3333 0.4884
Co6 Co 0.3333 0.6667 0.5873
```


(4)
Theoretical XRD peak list
Compound: Ce4ZrCo25
Radiation: Cu Kα (λ = 1.5418 Å)
Structure: a GGA-PBE-relaxed structure
Intensities are scaled so that the largest is 100.

The 10 most intense peaks (2θ from 5° to 70°), sorted by position:
d_spacing, two_theta, I (rel.), hkl
2.901, 30.82, 44, 1 1 2
2.430, 37.00, 29, 2 0 -1
2.106, 42.95, 22, 0 0 10
2.101, 43.06, 11, 2 0 -6
2.077, 43.57, 100, 1 1 7
2.003, 45.28, 29, 0 2 0
1.864, 48.86, 6, 2 1 4
1.545, 59.85, 14, 2 2 -1
1.477, 62.91, 8, 3 1 1
1.451, 64.20, 19, 0 2 10

Structural model:
```
data_Ce4ZrCo25
_chemical_formula_sum 'Ce4 Zr1 Co25'
_symmetry_space_group_name_H-M 'P 1 m 1'
_symmetry_Int_Tables_number 6
_cell_length_a 4.8544
_cell_length_b 4.0057
_cell_length_c 21.1952
_cell_angle_alpha 90.00
_cell_angle_beta 96.43
_cell_angle_gamma 90.00
loop_
_symmetry_equiv_pos_as_xyz
'x,y,z'
'x,-y,z'
loop_
_atom_site_label
_atom_site_type_symbol
_atom_site_fract_x
_atom_site_fract_y
_atom_site_fract_z
Ce1 Ce 0.0000 0.0000 0.0000
Ce2 Ce 0.1979 0.0000 0.3968
Ce3 Ce 0.3990 0.0000 0.7987
Ce4 Ce 0.7998 0.0000 0.5992
Zr1 Zr 0.5991 0.0000 0.1983
Co1 Co 0.0668 0.0000 0.1328
Co2 Co 0.0990 0.5000 0.1984
Co3 Co 0.0992 0.5000 0.6987
Co4 Co 0.1312 0.0000 0.2641
Co5 Co 0.1997 0.5000 0.8987
Co6 Co 0.2643 0.0000 0.5311
Co7 Co 0.3001 0.5000 0.5986
Co8 Co 0.3124 0.5000 0.1037
Co9 Co 0.3333 0.0000 0.6663
Co10 Co 0.4073 0.5000 0.2930
Co11 Co 0.4651 0.0000 0.9315
Co12 Co 0.5003 0.5000 0.9997
Co13 Co 0.5002 0.5000 0.4984
Co14 Co 0.5335 0.0000 0.0677
Co15 Co 0.5995 0.5000 0.6987
Co16 Co 0.6651 0.0000 0.3292
Co17 Co 0.6979 0.5000 0.3972
Co18 Co 0.6989 0.5000 0.8987
Co19 Co 0.7332 0.0000 0.4651
Co20 Co 0.7910 0.5000 0.1038
Co21 Co 0.8655 0.0000 0.7317
Co22 Co 0.8856 0.5000 0.2931
Co23 Co 0.8986 0.5000 0.7987
Co24 Co 0.9333 0.0000 0.8653
Co25 Co 0.9980 0.5000 0.4985
```


(5)
Theoretical XRD peak list
Compound: CeCrGe3
Radiation: Cu Kα (λ = 1.5418 Å)
Structure: a GGA-PBE-relaxed structure
Intensities are scaled so that the largest is 100.

The 10 most intense peaks (2θ from 5° to 70°), sorted by position:
d_spacing, two_theta, I (rel.), hkl
3.055, 29.23, 20, 1 1 0
2.842, 31.48, 29, 0 0 2
2.646, 33.88, 11, 2 0 0
2.504, 35.87, 20, 1 0 2
2.399, 37.50, 100, 2 0 1
1.936, 46.92, 31, 2 0 2
1.887, 48.24, 12, 2 1 1
1.540, 60.06, 25, 2 0 3
1.528, 60.62, 17, 2 2 0
1.345, 69.91, 12, 2 2 2

Structural model:
```
data_CeCrGe3
_chemical_formula_sum 'Ce2 Cr2 Ge6'
_symmetry_space_group_name_H-M 'P 63/m m c'
_symmetry_Int_Tables_number 194
_symmetry_space_group_name_Hall '-P 6c 2c'
_cell_length_a 6.1103
_cell_length_b 6.1103
_cell_length_c 5.6835
_cell_angle_alpha 90.00
_cell_angle_beta 90.00
_cell_angle_gamma 120.00
loop_
_atom_site_label
_atom_site_type_symbol
_atom_site_fract_x
_atom_site_fract_y
_atom_site_fract_z
Ce1 Ce 0.3333 0.6667 0.2500
Cr1 Cr 0.0000 0.0000 0.0000
Ge1 Ge 0.1917 0.3834 0.7500
```


(6)
Theoretical XRD peak list
Compound: CeMg14Cr
Radiation: Cu Kα (λ = 1.5418 Å)
Structure: a GGA-PBE-relaxed structure
Intensities are scaled so that the largest is 100.

The 10 most intense peaks (2θ from 5° to 70°), sorted by position:
d_spacing, two_theta, I (rel.), hkl
10.269, 8.61, 69, 1 0 0
5.669, 15.63, 19, 0 0 2
4.963, 17.87, 28, 1 0 2
2.735, 32.74, 44, 0 2 2
2.567, 34.95, 41, 4 0 0
2.481, 36.20, 62, 2 0 4
2.414, 37.24, 100, 2 2 2
1.872, 48.64, 21, 4 2 2
1.451, 64.19, 19, 6 2 2
1.368, 68.60, 22, 4 2 6

Structural model:
```
data_CeMg14Cr
_chemical_formula_sum 'Ce2 Mg28 Cr2'
_symmetry_space_group_name_H-M 'A m m 2'
_symmetry_Int_Tables_number 38
_cell_length_a 10.2692
_cell_length_b 6.2474
_cell_length_c 11.3373
_cell_angle_alpha 90.00
_cell_angle_beta 90.00
_cell_angle_gamma 90.00
loop_
_symmetry_equiv_pos_as_xyz
'x,y,z'
'-x,-y,z'
'-x,y,z'
'x,-y,z'
'x,y+1/2,z+1/2'
'-x,-y+1/2,z+1/2'
'-x,y+1/2,z+1/2'
'x,-y+1/2,z+1/2'
loop_
_atom_site_label
_atom_site_type_symbol
_atom_site_fract_x
_atom_site_fract_y
_atom_site_fract_z
Ce1 Ce 0.0000 0.0000 0.0000
Mg1 Mg 0.0000 0.2411 0.2514
Mg2 Mg 0.2348 0.0000 0.6522
Mg3 Mg 0.2529 0.2459 0.4058
Mg4 Mg 0.2595 0.0000 0.1595
Mg5 Mg 0.5000 0.0000 0.4944
Mg6 Mg 0.5000 0.0000 0.9925
Mg7 Mg 0.5000 0.2471 0.7432
Cr1 Cr 0.0000 0.0000 0.4871
```


(7)
Theoretical XRD peak list
Compound: CeMg14Cr
Radiation: Cu Kα (λ = 1.5418 Å)
Structure: a GGA-PBE-relaxed structure
Intensities are scaled so that the largest is 100.

The 10 most intense peaks (2θ from 5° to 70°), sorted by position:
d_spacing, two_theta, I (rel.), hkl
5.612, 15.79, 35, 1 0 0
4.924, 18.01, 16, 1 0 1
3.788, 23.48, 26, 1 0 2
2.806, 31.90, 28, 2 0 0
2.567, 34.95, 24, 0 0 4
2.462, 36.49, 100, 2 0 2
1.894, 48.03, 17, 2 0 4
1.620, 56.84, 17, 2 2 0
1.461, 63.69, 18, 2 0 6
1.370, 68.49, 19, 2 2 4

Structural model:
```
data_CeMg14Cr
_chemical_formula_sum 'Ce1 Mg14 Cr1'
_symmetry_space_group_name_H-M 'P -6 m 2'
_symmetry_Int_Tables_number 187
_symmetry_space_group_name_Hall 'P -6 2'
_cell_length_a 6.4798
_cell_length_b 6.4798
_cell_length_c 10.2696
_cell_angle_alpha 90.00
_cell_angle_beta 90.00
_cell_angle_gamma 120.00
loop_
_atom_site_label
_atom_site_type_symbol
_atom_site_fract_x
_atom_site_fract_y
_atom_site_fract_z
Ce1 Ce 0.0000 0.0000 0.0000
Mg1 Mg 0.0135 0.5067 0.0000
Mg2 Mg 0.1650 0.3299 0.2602
Mg3 Mg 0.5011 0.0022 0.5000
Mg4 Mg 0.6667 0.3333 0.2400
Cr1 Cr 0.0000 0.0000 0.5000
```


(8)
Theoretical XRD peak list
Compound: Ce4CrS7
Radiation: Cu Kα (λ = 1.5418 Å)
Structure: a GGA-PBE-relaxed structure
Intensities are scaled so that the largest is 100.

The 10 most intense peaks (2θ from 5° to 70°), sorted by position:
d_spacing, two_theta, I (rel.), hkl
3.638, 24.47, 94, 0 1 2
3.611, 24.65, 45, 2 1 0
3.577, 24.89, 100, 2 1 -2
3.423, 26.03, 53, 0 2 0
2.666, 33.62, 56, 2 2 0
2.641, 33.94, 44, 0 1 3
2.449, 36.70, 40, 2 0 -4
2.353, 38.25, 33, 2 2 1
2.216, 40.72, 34, 4 1 -1
2.005, 45.23, 40, 2 3 -2

Structural model:
```
data_Ce4CrS7
_chemical_formula_sum 'Ce8 Cr2 S14'
_symmetry_space_group_name_H-M 'P 1 21 1'
_symmetry_Int_Tables_number 4
_cell_length_a 9.6984
_cell_length_b 6.8462
_cell_length_c 9.7998
_cell_angle_alpha 90.00
_cell_angle_beta 118.78
_cell_angle_gamma 90.00
loop_
_symmetry_equiv_pos_as_xyz
'x,y,z'
'-x,y+1/2,-z'
loop_
_atom_site_label
_atom_site_type_symbol
_atom_site_fract_x
_atom_site_fract_y
_atom_site_fract_z
Ce1 Ce 0.1226 0.0000 0.3367
Ce2 Ce 0.2421 0.9381 0.8707
Ce3 Ce 0.2695 0.4650 0.1202
Ce4 Ce 0.3420 0.4520 0.7112
Cr1 Cr 0.4888 0.2746 0.4758
S1 S 0.0335 0.7419 0.9395
S2 S 0.0813 0.7312 0.5974
S3 S 0.1498 0.3073 0.8228
S4 S 0.2824 0.5475 0.4090
S5 S 0.3510 0.0668 0.2267
S6 S 0.3974 0.0540 0.6243
S7 S 0.4626 0.6574 0.0039
```


(9)
Theoretical XRD peak list
Compound: CeCrSb3
Radiation: Cu Kα (λ = 1.5418 Å)
Structure: a GGA-PBE-relaxed structure
Intensities are scaled so that the largest is 100.

The 10 most intense peaks (2θ from 5° to 70°), sorted by position:
d_spacing, two_theta, I (rel.), hkl
3.075, 29.04, 49, 0 0 2
2.825, 31.68, 76, 2 2 0
2.775, 32.26, 49, 2 0 2
2.604, 34.44, 100, 4 1 1
2.587, 34.67, 20, 5 0 0
2.538, 35.36, 33, 3 2 0
2.502, 35.89, 30, 3 0 2
2.196, 41.11, 74, 0 2 2
1.668, 55.05, 26, 4 1 3
1.366, 68.69, 32, 2 4 2

Structural model:
```
data_CeCrSb3
_chemical_formula_sum 'Ce4 Cr4 Sb12'
_symmetry_space_group_name_H-M 'P b c m'
_symmetry_Int_Tables_number 57
_cell_length_a 12.9364
_cell_length_b 6.2799
_cell_length_c 6.1443
_cell_angle_alpha 90.00
_cell_angle_beta 90.00
_cell_angle_gamma 90.00
loop_
_symmetry_equiv_pos_as_xyz
'x,y,z'
'-x,-y,-z'
'-x,-y,z+1/2'
'x,y,-z+1/2'
'x,-y+1/2,-z'
'-x,y+1/2,z'
'-x,y+1/2,-z+1/2'
'x,-y+1/2,z+1/2'
loop_
_atom_site_label
_atom_site_type_symbol
_atom_site_fract_x
_atom_site_fract_y
_atom_site_fract_z
Ce1 Ce 0.1923 0.0034 0.2500
Cr1 Cr 0.4058 0.7500 0.0000
Sb1 Sb 0.0011 0.7500 0.0000
Sb2 Sb 0.2737 0.5021 0.2500
Sb3 Sb 0.4373 0.0994 0.2500
```


(10)
Theoretical XRD peak list
Compound: Cs2CeCuI6
Radiation: Cu Kα (λ = 1.5418 Å)
Structure: a GGA-PBE-relaxed structure
Intensities are scaled so that the largest is 100.

The 10 most intense peaks (2θ from 5° to 70°), sorted by position:
d_spacing, two_theta, I (rel.), hkl
6.035, 14.68, 15, 2 0 0
4.268, 20.81, 16, 2 2 0
3.484, 25.56, 84, 2 2 2
3.018, 29.60, 100, 4 0 0
2.134, 42.36, 73, 4 4 0
1.820, 50.13, 38, 6 2 2
1.742, 52.53, 26, 4 4 4
1.509, 61.45, 12, 8 0 0
1.385, 67.67, 15, 6 6 2
1.350, 69.68, 32, 8 4 0

Structural model:
```
data_Cs2CeCuI6
_chemical_formula_sum 'Cs8 Ce4 Cu4 I24'
_symmetry_space_group_name_H-M 'F m -3 m'
_symmetry_Int_Tables_number 225
_symmetry_space_group_name_Hall '-F 4 2 3'
_cell_length_a 12.0705
_cell_length_b 12.0705
_cell_length_c 12.0705
_cell_angle_alpha 90.00
_cell_angle_beta 90.00
_cell_angle_gamma 90.00
loop_
_atom_site_label
_atom_site_type_symbol
_atom_site_fract_x
_atom_site_fract_y
_atom_site_fract_z
Cs1 Cs 0.2500 0.2500 0.2500
Ce1 Ce 0.0000 0.0000 0.0000
Cu1 Cu 0.0000 0.0000 0.5000
I1 I 0.0000 0.0000 0.2598
```


(11)
Theoretical XRD peak list
Compound: Cs2Ce2MgCu2S6
Radiation: Cu Kα (λ = 1.5418 Å)
Structure: a GGA-PBE-relaxed structure
Intensities are scaled so that the largest is 100.

The 10 most intense peaks (2θ from 5° to 70°), sorted by position:
d_spacing, two_theta, I (rel.), hkl
8.440, 10.48, 100, 0 0 1
4.533, 19.58, 72, 0 2 1
4.220, 21.05, 51, 0 0 2
3.295, 27.06, 36, 1 0 1
3.170, 28.15, 54, 1 2 0
3.126, 28.56, 34, 1 1 -2
2.687, 33.35, 43, 0 4 0
2.341, 38.46, 45, 1 2 2
2.325, 38.73, 45, 1 2 -3
2.266, 39.77, 38, 0 4 2

Structural model:
```
data_Cs2Ce2MgCu2S6
_chemical_formula_sum 'Cs2 Ce2 Mg1 Cu2 S6'
_symmetry_space_group_name_H-M 'P 1 m 1'
_symmetry_Int_Tables_number 6
_cell_length_a 4.0369
_cell_length_b 10.7470
_cell_length_c 8.6613
_cell_angle_alpha 90.00
_cell_angle_beta 102.99
_cell_angle_gamma 90.00
loop_
_symmetry_equiv_pos_as_xyz
'x,y,z'
'x,-y,z'
loop_
_atom_site_label
_atom_site_type_symbol
_atom_site_fract_x
_atom_site_fract_y
_atom_site_fract_z
Cs1 Cs 0.0000 0.0000 0.0000
Cs2 Cs 0.4408 0.5000 0.8924
Ce1 Ce 0.6892 0.2629 0.3929
Mg1 Mg 0.7969 0.0000 0.6153
Cu1 Cu 0.1626 0.5000 0.3370
Cu2 Cu 0.2045 0.0000 0.4236
S1 S 0.0884 0.3196 0.1820
S2 S 0.3048 0.1601 0.6287
S3 S 0.6438 0.0000 0.2975
S4 S 0.7466 0.5000 0.5091
```